Simulated XRD peak list
Compound: KZnBP2O8
Radiation: a wavelength of 1.5418 Å
Structure: a cell relaxed with PBE
No peak broadening, texture or thermal motion is included.

Main lines, most intense first (15° ≤ 2θ ≤ 90°):
- 21.25°, rel. 100.0, hkl 0 0 2
- 24.87°, rel. 77.1, hkl 3 1 -1
- 30.82°, rel. 69.5, hkl 1 3 -2
- 30.25°, rel. 68.7, hkl 3 3 0
- 30.12°, rel. 63.5, hkl 0 4 1
- 25.51°, rel. 60.6, hkl 0 2 2
- 32.17°, rel. 54.2, hkl 4 2 0
- 28.84°, rel. 50.1, hkl 4 0 0
- 22.20°, rel. 46.9, hkl 1 3 0
- 35.74°, rel. 46.3, hkl 4 0 -2

Crystal structure
Unit cell a=12.383 b=12.695 c=8.362 alpha=90.00 beta=91.17 gamma=90.00
Space group C2/c (No. 15)
Asymmetric unit:
K (0.000, 0.035, 0.250) (multiplicity 4)
K (0.000, 0.396, 0.250) (multiplicity 4)
Zn (0.126, 0.186, 0.561) (multiplicity 8)
B (0.178, 0.389, 0.925) (multiplicity 8)
P (0.131, 0.177, 0.941) (multiplicity 8)
P (0.187, 0.418, 0.590) (multiplicity 8)
O (0.020, 0.128, 0.963) (multiplicity 8)
O (0.120, 0.296, 0.987) (multiplicity 8)
O (0.136, 0.330, 0.487) (multiplicity 8)
O (0.139, 0.413, 0.761) (multiplicity 8)
O (0.140, 0.475, 0.028) (multiplicity 8)
O (0.179, 0.161, 0.777) (multiplicity 8)
O (0.191, 0.086, 0.410) (multiplicity 8)
O (0.205, 0.124, 0.072) (multiplicity 8)

=====

Simulated XRD peak list
Compound: YBeGaFe
Radiation: a wavelength of 1.5418 Å
Structure: a cell relaxed with PBE
No peak broadening, texture or thermal motion is included.

Main lines, most intense first (15° ≤ 2θ ≤ 90°):
- 40.20°, rel. 100.0, hkl 2 2 0
- 73.05°, rel. 31.6, hkl 4 2 2
- 24.29°, rel. 26.3, hkl 1 1 1
- 58.15°, rel. 16.1, hkl 4 0 0
- 47.52°, rel. 13.2, hkl 3 1 1
- 28.12°, rel. 12.6, hkl 2 0 0
- 86.83°, rel. 10.0, hkl 4 4 0
- 63.95°, rel. 5.3, hkl 3 3 1
- 78.29°, rel. 3.9, hkl 5 1 1
- 65.82°, rel. 3.9, hkl 4 2 0

Crystal structure
Unit cell a=6.346 b=6.346 c=6.346 alpha=90.00 beta=90.00 gamma=90.00
Space group F-43m (No. 216)
Asymmetric unit:
Y (0.000, 0.000, 0.000) (multiplicity 4)
Be (0.250, 0.250, 0.750) (multiplicity 4)
Ga (0.250, 0.250, 0.250) (multiplicity 4)
Fe (0.000, 0.000, 0.500) (multiplicity 4)

=====

Simulated XRD peak list
Compound: HfZr2Cu4Si4
Radiation: a wavelength of 1.5418 Å
Structure: a cell relaxed with PBE
No peak broadening, texture or thermal motion is included.

Main lines, most intense first (15° ≤ 2θ ≤ 90°):
- 36.89°, rel. 100.0, hkl 1 2 1
- 38.45°, rel. 88.0, hkl 1 1 4
- 37.11°, rel. 36.3, hkl 0 1 5
- 47.52°, rel. 35.6, hkl 0 3 3
- 46.13°, rel. 34.4, hkl 2 0 0
- 29.96°, rel. 30.3, hkl 1 1 2
- 68.38°, rel. 22.9, hkl 2 3 3
- 41.39°, rel. 22.5, hkl 0 0 6
- 30.59°, rel. 20.3, hkl 1 0 3
- 60.63°, rel. 16.9, hkl 2 1 5

Crystal structure
Unit cell a=3.936 b=6.387 c=13.091 alpha=90.00 beta=90.00 gamma=90.00
Space group Immm (No. 71)
Asymmetric unit:
Hf (0.000, 0.000, 0.000) (multiplicity 2)
Zr (0.000, 0.500, 0.124) (multiplicity 4)
Cu (0.000, 0.308, 0.331) (multiplicity 8)
Si (0.000, 0.000, 0.215) (multiplicity 4)
Si (0.000, 0.193, 0.500) (multiplicity 4)

=====

Simulated XRD peak list
Compound: TbGdSi2Br2
Radiation: a wavelength of 1.5418 Å
Structure: a cell relaxed with PBE
No peak broadening, texture or thermal motion is included.

Main lines, most intense first (15° ≤ 2θ ≤ 90°):
- 35.26°, rel. 100.0, hkl 0 1 3
- 26.60°, rel. 46.5, hkl 1 0 1
- 44.64°, rel. 41.4, hkl 1 1 0
- 30.11°, rel. 41.1, hkl 1 0 2
- 25.33°, rel. 26.5, hkl 1 0 0
- 16.01°, rel. 23.6, hkl 0 0 2
- 58.13°, rel. 23.4, hkl 2 0 3
- 68.75°, rel. 21.3, hkl 1 1 6
- 76.14°, rel. 21.3, hkl 1 2 3
- 48.59°, rel. 15.1, hkl 0 1 5

Crystal structure
Unit cell a=4.0596 b=4.0596 c=11.0717 alpha=90.00 beta=90.00 gamma=120.00
Space group P3m1 (No. 156)
Asymmetric unit:
Tb (0.0000, 0.0000, 0.0000) (multiplicity 1)
Gd (0.0000, 0.0000, 0.3473) (multiplicity 1)
Si (0.3333, 0.6667, 0.1815) (multiplicity 1)
Si (0.6667, 0.3333, 0.1641) (multiplicity 1)
Br (0.3333, 0.6667, 0.8354) (multiplicity 1)
Br (0.6667, 0.3333, 0.5134) (multiplicity 1)